For Nd3S4, DFT lattice parameters and positions (GGA-PBE) gives the computed powder XRD pattern in this record (CuKα).
Neutral-atom scattering factors, no anomalous dispersion.

Most intense lines, 2θ from 10° to 90°, in order of rising 2θ:
(2 0 0), 6.621 Å, 2θ = 13.4°, intensity 34; (4 0 -1), 3.673 Å, 2θ = 24.2°, intensity 32; (2 0 -2), 3.593 Å, 2θ = 24.8°, intensity 56; (1 1 -1), 3.567 Å, 2θ = 25.0°, intensity 100; (1 1 1), 3.176 Å, 2θ = 28.1°, intensity 30; (3 1 0), 3.008 Å, 2θ = 29.7°, intensity 45; (3 1 1), 2.460 Å, 2θ = 36.5°, intensity 57; (5 1 -1), 2.394 Å, 2θ = 37.6°, intensity 46; (3 1 -3), 2.069 Å, 2θ = 43.7°, intensity 50; (0 2 0), 2.055 Å, 2θ = 44.1°, intensity 31

```
data_Nd3S4
_chemical_formula_sum 'Nd6 S8'
_cell_length_a 14.7396
_cell_length_b 4.1093
_cell_length_c 7.1958
_cell_angle_alpha 90.00
_cell_angle_beta 116.06
_cell_angle_gamma 90.00
_symmetry_space_group_name_H-M 'C 1 2/m 1'
_symmetry_Int_Tables_number 12
loop_
_symmetry_equiv_pos_as_xyz
'x,y,z'
'-x,-y,-z'
'-x,y,-z'
'x,-y,z'
'x+1/2,y+1/2,z'
'-x+1/2,-y+1/2,-z'
'-x+1/2,y+1/2,-z'
'x+1/2,-y+1/2,z'
loop_
_atom_site_label
_atom_site_fract_x
_atom_site_fract_y
_atom_site_fract_z
Nd1 0.0000 0.0000 0.0000
Nd2 0.2225 0.5000 0.7176
S1 0.1256 0.0000 0.4342
S2 0.1416 0.5000 0.0131
```

***

For Nd10S19, DFT lattice parameters and positions (GGA-PBE) gives the computed powder XRD pattern in this record (CuKα).
Neutral-atom scattering factors, no anomalous dispersion.

Most intense lines, 2θ from 10° to 90°, in order of rising 2θ:
(0 0 4), 4.060 Å, 2θ = 21.9°, intensity 29; (1 2 2), 3.595 Å, 2θ = 24.8°, intensity 100; (3 1 0), 2.835 Å, 2θ = 31.6°, intensity 47; (3 1 2), 2.676 Å, 2θ = 33.5°, intensity 16; (3 1 4), 2.324 Å, 2θ = 38.7°, intensity 60; (1 2 6), 2.243 Å, 2θ = 40.2°, intensity 41; (2 4 0), 2.004 Å, 2θ = 45.2°, intensity 28; (2 4 4), 1.797 Å, 2θ = 50.8°, intensity 16; (5 0 2), 1.751 Å, 2θ = 52.3°, intensity 27; (5 0 6), 1.495 Å, 2θ = 62.1°, intensity 22

```
data_Nd10S19
_chemical_formula_sum 'Nd20 S38'
_cell_length_a 8.9639
_cell_length_b 8.9639
_cell_length_c 16.2389
_cell_angle_alpha 90.00
_cell_angle_beta 90.00
_cell_angle_gamma 90.00
_symmetry_space_group_name_H-M 'P 42/n'
_symmetry_Int_Tables_number 86
loop_
_symmetry_equiv_pos_as_xyz
'x,y,z'
'-x,-y,-z'
'-y,x+1/2,z+1/2'
'y,-x+1/2,-z+1/2'
'-x+1/2,-y+1/2,z'
'x+1/2,y+1/2,-z'
'y+1/2,-x,z+1/2'
'-y+1/2,x,-z+1/2'
loop_
_atom_site_label
_atom_site_fract_x
_atom_site_fract_y
_atom_site_fract_z
Nd1 0.0410 0.3480 0.1222
Nd2 0.0553 0.3541 0.6028
Nd3 0.2500 0.7500 0.1146
S1 0.0302 0.8041 0.2490
S2 0.0491 0.3481 0.4263
S3 0.0531 0.3518 0.9379
S4 0.0769 0.8890 0.7501
S5 0.2500 0.2500 0.2500
S6 0.2500 0.7500 0.4343
```

***

For Nd5Sb4S, DFT lattice parameters and positions (GGA-PBE) gives the computed powder XRD pattern in this record (CuKα).
Neutral-atom scattering factors, no anomalous dispersion.

Most intense lines, 2θ from 10° to 90°, in order of rising 2θ:
(0 0 2), 3.155 Å, 2θ = 28.3°, intensity 51; (3 1 0), 3.138 Å, 2θ = 28.4°, intensity 100; (3 1 2), 2.225 Å, 2θ = 40.5°, intensity 77; (2 4 0), 2.219 Å, 2θ = 40.7°, intensity 37; (2 4 2), 1.815 Å, 2θ = 50.3°, intensity 40; (6 2 0), 1.569 Å, 2θ = 58.9°, intensity 12; (3 1 4), 1.409 Å, 2θ = 66.3°, intensity 18; (6 2 2), 1.404 Å, 2θ = 66.6°, intensity 33; (2 4 4), 1.286 Å, 2θ = 73.7°, intensity 13; (5 5 2), 1.282 Å, 2θ = 73.9°, intensity 24

```
data_Nd5Sb4S
_chemical_formula_sum 'Nd10 Sb8 S2'
_cell_length_a 9.9228
_cell_length_b 9.9228
_cell_length_c 6.3102
_cell_angle_alpha 90.00
_cell_angle_beta 90.00
_cell_angle_gamma 90.00
_symmetry_space_group_name_H-M 'I 4'
_symmetry_Int_Tables_number 79
loop_
_symmetry_equiv_pos_as_xyz
'x,y,z'
'-y,x,z'
'-x,-y,z'
'y,-x,z'
'x+1/2,y+1/2,z+1/2'
'-y+1/2,x+1/2,z+1/2'
'-x+1/2,-y+1/2,z+1/2'
'y+1/2,-x+1/2,z+1/2'
loop_
_atom_site_label
_atom_site_fract_x
_atom_site_fract_y
_atom_site_fract_z
Nd1 0.0000 0.0000 0.0000
Nd2 0.0986 0.7114 0.5009
Sb1 0.0952 0.6986 0.0008
S1 0.0000 0.0000 0.5013
```

***

For NdSc2S4, DFT lattice parameters and positions (GGA-PBE) gives the computed powder XRD pattern in this record (CuKα).
Neutral-atom scattering factors, no anomalous dispersion.

Most intense lines, 2θ from 10° to 90°, in order of rising 2θ:
(0 2 1), 5.526 Å, 2θ = 16.0°, intensity 68; (0 2 3), 3.493 Å, 2θ = 25.5°, intensity 92; (1 1 1), 3.464 Å, 2θ = 25.7°, intensity 39; (1 1 3), 2.746 Å, 2θ = 32.6°, intensity 27; (1 3 1), 2.706 Å, 2θ = 33.1°, intensity 100; (1 3 2), 2.540 Å, 2θ = 35.3°, intensity 79; (1 1 5), 2.080 Å, 2θ = 43.5°, intensity 44; (1 5 2), 1.956 Å, 2θ = 46.4°, intensity 30; (2 0 0), 1.882 Å, 2θ = 48.4°, intensity 27; (0 6 3), 1.842 Å, 2θ = 49.5°, intensity 32

```
data_NdSc2S4
_chemical_formula_sum 'Nd4 Sc8 S16'
_cell_length_a 3.7647
_cell_length_b 12.2655
_cell_length_c 12.7475
_cell_angle_alpha 90.00
_cell_angle_beta 90.00
_cell_angle_gamma 90.00
_symmetry_space_group_name_H-M 'C m c m'
_symmetry_Int_Tables_number 63
_symmetry_space_group_name_Hall '-C 2c 2'
loop_
_atom_site_label
_atom_site_fract_x
_atom_site_fract_y
_atom_site_fract_z
Nd1 0.0000 0.1207 0.2500
Sc1 0.0000 0.3712 0.0639
S1 0.0000 0.0000 0.0000
S2 0.0000 0.2701 0.6153
S3 0.0000 0.4488 0.2500
```

***

For Nd2ScTe2S2, DFT lattice parameters and positions (GGA-PBE) gives the computed powder XRD pattern in this record (CuKα).
Neutral-atom scattering factors, no anomalous dispersion.

Most intense lines, 2θ from 10° to 90°, in order of rising 2θ:
(1 1 0), 3.403 Å, 2θ = 26.2°, intensity 100; (1 1 2), 3.137 Å, 2θ = 28.4°, intensity 17; (1 0 5), 2.687 Å, 2θ = 33.3°, intensity 98; (1 1 4), 2.605 Å, 2θ = 34.4°, intensity 43; (2 0 0), 2.406 Å, 2θ = 37.4°, intensity 62; (2 1 5), 1.793 Å, 2θ = 50.9°, intensity 58; (2 2 0), 1.701 Å, 2θ = 53.9°, intensity 21; (3 1 0), 1.522 Å, 2θ = 60.9°, intensity 19; (3 0 5), 1.438 Å, 2θ = 64.8°, intensity 17; (3 2 5), 1.234 Å, 2θ = 77.3°, intensity 17

```
data_Nd2ScTe2S2
_chemical_formula_sum 'Nd4 Sc2 Te4 S4'
_cell_length_a 4.8126
_cell_length_b 4.8126
_cell_length_c 16.1976
_cell_angle_alpha 90.00
_cell_angle_beta 90.00
_cell_angle_gamma 90.00
_symmetry_space_group_name_H-M 'I 4/m m m'
_symmetry_Int_Tables_number 139
_symmetry_space_group_name_Hall '-I 4 2'
loop_
_atom_site_label
_atom_site_fract_x
_atom_site_fract_y
_atom_site_fract_z
Nd1 0.0000 0.0000 0.1191
Sc1 0.0000 0.0000 0.5000
Te1 0.0000 0.0000 0.3182
S1 0.0000 0.5000 0.0000
```

***

For Nd2TmScS6, DFT lattice parameters and positions (GGA-PBE) gives the computed powder XRD pattern in this record (CuKα).
Neutral-atom scattering factors, no anomalous dispersion.

Most intense lines, 2θ from 10° to 90°, in order of rising 2θ:
(0 1 1), 5.817 Å, 2θ = 15.2°, intensity 31; (1 0 -2), 5.436 Å, 2θ = 16.3°, intensity 32; (1 1 1), 3.465 Å, 2θ = 25.7°, intensity 100; (1 1 -3), 3.436 Å, 2θ = 25.9°, intensity 100; (2 0 -2), 3.297 Å, 2θ = 27.0°, intensity 42; (2 1 -1), 2.877 Å, 2θ = 31.1°, intensity 42; (0 0 4), 2.440 Å, 2θ = 36.8°, intensity 72; (1 3 -2), 2.208 Å, 2θ = 40.9°, intensity 39; (3 1 -1), 1.939 Å, 2θ = 46.8°, intensity 31; (3 1 -5), 1.924 Å, 2θ = 47.2°, intensity 30

```
data_Nd2TmScS6
_chemical_formula_sum 'Nd4 Tm2 Sc2 S12'
_cell_length_a 6.5941
_cell_length_b 7.2404
_cell_length_c 11.7228
_cell_angle_alpha 90.00
_cell_angle_beta 123.57
_cell_angle_gamma 90.00
_symmetry_space_group_name_H-M 'P 1 21/c 1'
_symmetry_Int_Tables_number 14
loop_
_symmetry_equiv_pos_as_xyz
'x,y,z'
'-x,-y,-z'
'-x,y+1/2,-z+1/2'
'x,-y+1/2,z+1/2'
loop_
_atom_site_label
_atom_site_fract_x
_atom_site_fract_y
_atom_site_fract_z
Nd1 0.2105 0.0964 0.2485
Tm1 0.5000 0.0000 0.0000
Sc1 0.0000 0.0000 0.5000
S1 0.1050 0.1909 0.9317
S2 0.2483 0.6831 0.9323
S3 0.3817 0.0453 0.7441
```